The following is a calculated X-ray diffraction stick pattern of K2SmTlBr6. It was derived from a cell relaxed with PBE, using copper Kα.

Top 10 peaks for 2θ = 15–90°, low angle first:
| 2θ/deg | intensity |
| --- | --- |
| 15.1 | 100 |
| 20.9 | 37 |
| 25.2 | 71 |
| 30.4 | 42 |
| 33.5 | 74 |
| 34.7 | 18 |
| 37.7 | 31 |
| 38.3 | 45 |
| 47.2 | 17 |
| 51.8 | 17 |

Atomic structure:
```
K2SmTlBr6
1.0
4.0738 2.3520 7.0936
-4.0738 2.3520 7.0936
0.0000 -4.7040 7.0936
K Sm Tl Br
2 1 1 6
Direct
0.0000 0.0000 0.0000
0.4894 0.4894 0.4894
0.6950 0.6950 0.6950
0.2049 0.2049 0.2049
0.0416 0.4511 0.8080
0.3404 0.8959 0.5944
0.4511 0.8080 0.0416
0.5944 0.3404 0.8959
0.8080 0.0416 0.4511
0.8959 0.5944 0.3404
```